The following is a computed X-ray diffraction stick pattern of K5ReO4F2. It was derived from a cell relaxed with GGA-PBE, using Cu Kα, 1.54184 Å.
Lines closer than 0.1° are merged.

Peak list (6 most intense, 10° ≤ 2θ ≤ 80°, sorted by position)
| h k l | two_theta | I (rel.) |
| --- | --- | --- |
| 1 0 0 | 11.8 | 55 |
| 0 1 1 | 16.2 | 72 |
| 1 1 1 | 20.1 | 61 |
| 2 1 1 | 28.9 | 100 |
| 0 3 1 | 29.4 | 78 |
| 2 2 2 | 40.8 | 64 |

Structural model:
Lattice parameters (Å, degrees): 7.4751 10.3406 6.4577 90.00 90.00 90.00
Space group Amm2 (No. 38)
Inequivalent atoms, fractional coordinates:
K1 0.0000 0.0000 0.0000 [2 per cell]
K2 0.2587 0.1853 0.4836 [8 per cell]
Re1 0.5000 0.0000 0.9888 [2 per cell]
O1 0.3197 0.0000 0.1943 [4 per cell]
O2 0.5000 0.1428 0.8178 [4 per cell]
F1 0.0000 0.2036 0.7563 [4 per cell]



The following is a computed X-ray diffraction stick pattern of Ho3AlCo8. It was derived from a cell relaxed with GGA-PBE, using Cu Kα, 1.54184 Å.
Lines closer than 0.1° are merged.

Peak list (6 most intense, 10° ≤ 2θ ≤ 80°, sorted by position)
| h k l | two_theta | I (rel.) |
| --- | --- | --- |
| 0 1 8 | 36.1 | 37 |
| 1 1 0 | 36.2 | 38 |
| 1 0 10 | 42.6 | 35 |
| 2 0 2 | 42.7 | 100 |
| 0 2 4 | 44.7 | 21 |
| 2 1 10 | 69.5 | 30 |

Structural model:
Lattice parameters (Å, degrees): 4.9626 4.9626 24.4286 90.00 90.00 120.00
Space group R3m (No. 160, hexagonal axes)
Inequivalent atoms, fractional coordinates:
Ho1 0.0000 0.0000 0.0000 [3 per cell]
Ho2 0.0000 0.0000 0.1274 [3 per cell]
Ho3 0.0000 0.0000 0.5077 [3 per cell]
Al1 0.0000 0.0000 0.6300 [3 per cell]
Co1 0.0000 0.0000 0.3146 [3 per cell]
Co2 0.0000 0.0000 0.8152 [3 per cell]
Co3 0.0024 0.5012 0.5679 [9 per cell]
Co4 0.1690 0.3380 0.3961 [9 per cell]



The following is a computed X-ray diffraction stick pattern of SrLi2Tm2Pb2. It was derived from a cell relaxed with GGA-PBE, using Cu Kα, 1.54184 Å.
Lines closer than 0.1° are merged.

Peak list (6 most intense, 10° ≤ 2θ ≤ 80°, sorted by position)
| h k l | two_theta | I (rel.) |
| --- | --- | --- |
| 1 0 1 | 21.1 | 43 |
| 0 1 2 | 21.8 | 54 |
| 1 0 7 | 30.7 | 41 |
| 0 1 8 | 33.1 | 100 |
| 1 1 0 | 36.5 | 87 |
| 2 0 8 | 50.1 | 32 |

Structural model:
Lattice parameters (Å, degrees): 4.9188 4.9188 28.0032 90.00 90.00 120.00
Space group R-3m (No. 166, hexagonal axes)
Inequivalent atoms, fractional coordinates:
Sr1 0.0000 0.0000 0.0000 [3 per cell]
Li1 0.0000 0.0000 0.4257 [6 per cell]
Tm1 0.0000 0.0000 0.1332 [6 per cell]
Pb1 0.0000 0.0000 0.2530 [6 per cell]



The following is a computed X-ray diffraction stick pattern of UTiF6. It was derived from a cell relaxed with GGA-PBE, using Cu Kα, 1.54184 Å.
Lines closer than 0.1° are merged.

Peak list (6 most intense, 10° ≤ 2θ ≤ 80°, sorted by position)
| h k l | two_theta | I (rel.) |
| --- | --- | --- |
| 1 0 1 | 20.4 | 100 |
| 1 0 2 | 25.4 | 38 |
| 1 1 0 | 32.2 | 46 |
| 1 1 2 | 36.8 | 23 |
| 2 -1 4 | 48.4 | 36 |
| 3 0 0 | 57.5 | 21 |

Structural model:
Lattice parameters (Å, degrees): 5.5513 5.5513 10.2320 90.00 90.00 120.00
Space group P-31c (No. 163)
Inequivalent atoms, fractional coordinates:
U1 0.3333 0.6667 0.2500 [2 per cell]
Ti1 0.0000 0.0000 0.0000 [2 per cell]
F1 0.0419 0.3152 0.1170 [12 per cell]



The following is a computed X-ray diffraction stick pattern of Li3Ca3Mg. It was derived from a cell relaxed with GGA-PBE, using Cu Kα, 1.54184 Å.
Lines closer than 0.1° are merged.

Peak list (6 most intense, 10° ≤ 2θ ≤ 80°, sorted by position)
| h k l | two_theta | I (rel.) |
| --- | --- | --- |
| 0 0 2 | 23.7 | 60 |
| 2 2 0 | 23.9 | 83 |
| 3 1 0 | 28.4 | 31 |
| 0 4 0 | 31.3 | 34 |
| 2 2 2 | 33.9 | 100 |
| 2 2 4 | 54.8 | 30 |

Structural model:
Lattice parameters (Å, degrees): 9.8108 11.4231 7.4997 90.00 90.00 90.00
Space group Cmmm (No. 65)
Inequivalent atoms, fractional coordinates:
Li1 0.0000 0.0000 0.2097 [4 per cell]
Li2 0.2500 0.2500 0.2189 [8 per cell]
Ca1 0.0000 0.2201 0.5000 [4 per cell]
Ca2 0.1911 0.5000 0.0000 [4 per cell]
Ca3 0.2075 0.5000 0.5000 [4 per cell]
Mg1 0.0000 0.2256 0.0000 [4 per cell]